Record 1
Starting from a DFT-relaxed cell (PBE, Alexandria), the powder diffractogram of Pr6MgNi2 was computed for Cu Kα X-rays.
No peak broadening, texture or thermal motion is included.

Largest 8 diffraction maxima, sorted by position, 2θ = 10–90°:
| (hkl) | two_theta | I (rel.) |
| --- | --- | --- |
| 3 1 0 | 29.16 | 39 |
| 2 2 2 | 30.58 | 100 |
| 1 3 2 | 32.55 | 76 |
| 2 1 3 | 32.69 | 56 |
| 2 3 1 | 33.24 | 61 |
| 3 2 1 | 34.04 | 42 |
| 0 2 4 | 38.32 | 37 |
| 5 3 2 | 57.67 | 44 |

Structural model:
abc: 9.624 10.258 10.568
angles: 90.00 90.00 90.00
Space group Immm (No. 71)
One atom of each set of equivalent atoms:
Pr: 0.000 0.197 0.236 (multiplicity 8)
Pr: 0.186 0.500 0.176 (multiplicity 8)
Pr: 0.210 0.321 0.500 (multiplicity 8)
Mg: 0.000 0.000 0.000 (multiplicity 2)
Mg: 0.000 0.000 0.500 (multiplicity 2)
Ni: 0.000 0.308 0.000 (multiplicity 4)
Ni: 0.000 0.500 0.380 (multiplicity 4)

Record 2
Starting from a DFT-relaxed cell (PBE, Alexandria), the powder diffractogram of Pr4Mg3Ni was computed for Cu Kα X-rays.
No peak broadening, texture or thermal motion is included.

Largest 8 diffraction maxima, sorted by position, 2θ = 10–90°:
| (hkl) | two_theta | I (rel.) |
| --- | --- | --- |
| 0 0 4 | 22.60 | 21 |
| 1 0 0 | 23.69 | 47 |
| 1 0 4 | 32.97 | 100 |
| 1 1 0 | 33.75 | 53 |
| 1 1 4 | 41.01 | 18 |
| 2 0 0 | 48.48 | 19 |
| 1 1 8 | 58.39 | 13 |
| 2 1 4 | 59.88 | 35 |

Structural model:
abc: 3.756 3.756 15.734
angles: 90.00 90.00 90.00
Space group P4/mmm (No. 123)
One atom of each set of equivalent atoms:
Pr: 0.000 0.000 0.104 (multiplicity 2)
Pr: 0.000 0.000 0.370 (multiplicity 2)
Mg: 0.500 0.500 0.240 (multiplicity 2)
Mg: 0.500 0.500 0.500 (multiplicity 1)
Ni: 0.500 0.500 0.000 (multiplicity 1)

Record 3
Starting from a DFT-relaxed cell (PBE, Alexandria), the powder diffractogram of Pr3MgNi3 was computed for Cu Kα X-rays.
No peak broadening, texture or thermal motion is included.

Largest 8 diffraction maxima, sorted by position, 2θ = 10–90°:
| (hkl) | two_theta | I (rel.) |
| --- | --- | --- |
| 1 1 2 | 25.83 | 57 |
| 1 1 3 | 29.66 | 71 |
| 0 2 4 | 31.10 | 43 |
| 1 3 0 | 33.25 | 93 |
| 1 1 4 | 34.36 | 88 |
| 1 3 3 | 38.71 | 100 |
| 0 0 6 | 39.08 | 38 |
| 2 0 0 | 41.93 | 55 |

Structural model:
abc: 4.309 10.359 13.830
angles: 90.00 90.00 90.00
Space group Cmcm (No. 63)
One atom of each set of equivalent atoms:
Pr: 0.000 0.016 0.250 (multiplicity 4)
Pr: 0.000 0.297 0.105 (multiplicity 8)
Mg: 0.000 0.000 0.000 (multiplicity 4)
Ni: 0.000 0.278 0.750 (multiplicity 4)
Ni: 0.000 0.410 0.596 (multiplicity 8)

Record 4
Starting from a DFT-relaxed cell (PBE, Alexandria), the powder diffractogram of PrMg2Ni2 was computed for Cu Kα X-rays.
No peak broadening, texture or thermal motion is included.

Largest 8 diffraction maxima, sorted by position, 2θ = 10–90°:
| (hkl) | two_theta | I (rel.) |
| --- | --- | --- |
| 0 0 1 | 17.57 | 100 |
| 1 1 0 | 24.12 | 19 |
| 1 1 1 | 31.30 | 53 |
| 3 1 0 | 35.45 | 59 |
| 3 1 -1 | 36.56 | 76 |
| 1 1 2 | 45.35 | 34 |
| 0 2 0 | 45.58 | 22 |
| 3 1 -2 | 45.76 | 35 |

Structural model:
abc: 10.149 3.980 5.203
angles: 90.00 104.06 90.00
Space group C2/m (No. 12)
One atom of each set of equivalent atoms:
Pr: 0.000 0.000 0.000 (multiplicity 2)
Mg: 0.157 0.500 0.577 (multiplicity 4)
Ni: 0.222 0.500 0.105 (multiplicity 4)

Record 5
Starting from a DFT-relaxed cell (PBE, Alexandria), the powder diffractogram of Pr6Mg3Ni was computed for Cu Kα X-rays.
No peak broadening, texture or thermal motion is included.

Largest 8 diffraction maxima, sorted by position, 2θ = 10–90°:
| (hkl) | two_theta | I (rel.) |
| --- | --- | --- |
| 1 1 1 | 20.35 | 24 |
| 2 2 0 | 23.85 | 21 |
| 1 2 1 | 24.30 | 37 |
| 2 3 0 | 29.42 | 29 |
| 1 3 1 | 29.80 | 76 |
| 3 0 1 | 32.29 | 100 |
| 0 0 2 | 33.30 | 51 |
| 1 4 1 | 36.22 | 29 |

Structural model:
abc: 9.705 11.673 5.380
angles: 90.00 90.00 90.00
Space group Pnnm (No. 58)
One atom of each set of equivalent atoms:
Pr: 0.011 0.228 0.000 (multiplicity 4)
Pr: 0.158 0.072 0.500 (multiplicity 4)
Pr: 0.186 0.404 0.500 (multiplicity 4)
Mg: 0.000 0.500 0.000 (multiplicity 2)
Mg: 0.157 0.716 0.500 (multiplicity 4)
Ni: 0.000 0.000 0.000 (multiplicity 2)

Record 6
Starting from a DFT-relaxed cell (PBE, Alexandria), the powder diffractogram of PrMg2SiNi2 was computed for Cu Kα X-rays.
No peak broadening, texture or thermal motion is included.

Largest 8 diffraction maxima, sorted by position, 2θ = 10–90°:
| (hkl) | two_theta | I (rel.) |
| --- | --- | --- |
| 1 0 0 | 20.28 | 39 |
| 1 0 1 | 25.11 | 42 |
| 0 0 2 | 29.55 | 34 |
| 1 1 1 | 32.49 | 100 |
| 1 0 2 | 36.11 | 62 |
| 2 0 0 | 41.24 | 54 |
| 2 0 2 | 51.55 | 28 |
| 2 1 2 | 55.95 | 35 |

Structural model:
abc: 4.379 4.379 6.045
angles: 90.00 90.00 90.00
Space group P4/mmm (No. 123)
One atom of each set of equivalent atoms:
Pr: 0.000 0.000 0.000 (multiplicity 1)
Mg: 0.500 0.500 0.252 (multiplicity 2)
Si: 0.000 0.000 0.500 (multiplicity 1)
Ni: 0.000 0.500 0.500 (multiplicity 2)

Record 7
Starting from a DFT-relaxed cell (PBE, Alexandria), the powder diffractogram of MgNiPt4 was computed for Cu Kα X-rays.
No peak broadening, texture or thermal motion is included.

Largest 8 diffraction maxima, sorted by position, 2θ = 10–90°:
| (hkl) | two_theta | I (rel.) |
| --- | --- | --- |
| 1 1 1 | 20.77 | 91 |
| 3 1 1 | 40.39 | 100 |
| 2 2 2 | 42.27 | 86 |
| 4 0 0 | 49.21 | 33 |
| 3 3 1 | 53.97 | 23 |
| 3 3 3 | 65.49 | 32 |
| 4 4 0 | 72.15 | 33 |
| 6 2 2 | 87.33 | 34 |

Structural model:
abc: 7.406 7.406 7.406
angles: 90.00 90.00 90.00
Space group F-43m (No. 216)
One atom of each set of equivalent atoms:
Mg: 0.000 0.000 0.000 (multiplicity 4)
Ni: 0.250 0.250 0.750 (multiplicity 4)
Pt: 0.125 0.125 0.375 (multiplicity 16)

Record 8
Starting from a DFT-relaxed cell (PBE, Alexandria), the powder diffractogram of Mg5NiPt6 was computed for Cu Kα X-rays.
No peak broadening, texture or thermal motion is included.

Largest 8 diffraction maxima, sorted by position, 2θ = 10–90°:
| (hkl) | two_theta | I (rel.) |
| --- | --- | --- |
| 0 2 0 | 24.59 | 43 |
| 1 0 3 | 30.63 | 50 |
| 1 2 3 | 39.67 | 100 |
| 2 0 0 | 43.87 | 38 |
| 2 2 0 | 50.93 | 25 |
| 1 4 3 | 60.15 | 15 |
| 2 4 0 | 69.01 | 20 |
| 3 2 3 | 77.78 | 28 |

Structural model:
abc: 4.126 7.241 12.386
angles: 90.00 90.00 90.00
Space group Immm (No. 71)
One atom of each set of equivalent atoms:
Mg: 0.000 0.000 0.000 (multiplicity 2)
Mg: 0.000 0.000 0.339 (multiplicity 4)
Mg: 0.000 0.500 0.333 (multiplicity 4)
Ni: 0.000 0.500 0.000 (multiplicity 2)
Pt: 0.000 0.247 0.500 (multiplicity 4)
Pt: 0.000 0.252 0.165 (multiplicity 8)

Record 9
Starting from a DFT-relaxed cell (PBE, Alexandria), the powder diffractogram of Mg5NiPt4 was computed for Cu Kα X-rays.
No peak broadening, texture or thermal motion is included.

Largest 8 diffraction maxima, sorted by position, 2θ = 10–90°:
| (hkl) | two_theta | I (rel.) |
| --- | --- | --- |
| 0 0 5 | 25.66 | 42 |
| 1 0 0 | 29.83 | 59 |
| 1 0 5 | 39.75 | 100 |
| 1 1 0 | 42.70 | 42 |
| 1 1 5 | 50.48 | 27 |
| 1 0 10 | 61.77 | 14 |
| 1 1 10 | 70.09 | 17 |
| 2 1 5 | 76.19 | 30 |

Structural model:
abc: 2.995 2.995 17.359
angles: 90.00 90.00 90.00
Space group P4/mmm (No. 123)
One atom of each set of equivalent atoms:
Mg: 0.000 0.000 0.000 (multiplicity 1)
Mg: 0.000 0.000 0.204 (multiplicity 2)
Mg: 0.000 0.000 0.407 (multiplicity 2)
Ni: 0.500 0.500 0.500 (multiplicity 1)
Pt: 0.500 0.500 0.102 (multiplicity 2)
Pt: 0.500 0.500 0.307 (multiplicity 2)

Record 10
Starting from a DFT-relaxed cell (PBE, Alexandria), the powder diffractogram of PuMgNi10 was computed for Cu Kα X-rays.
No peak broadening, texture or thermal motion is included.

Largest 8 diffraction maxima, sorted by position, 2θ = 10–90°:
| (hkl) | two_theta | I (rel.) |
| --- | --- | --- |
| 0 0 1 | 10.64 | 44 |
| 1 1 1 | 31.12 | 42 |
| 0 2 0 | 37.47 | 29 |
| 0 0 4 | 43.54 | 33 |
| 1 2 0 | 44.07 | 100 |
| 2 0 0 | 45.62 | 29 |
| 2 0 4 | 64.89 | 20 |
| 1 3 3 | 72.18 | 22 |

Structural model:
abc: 3.977 4.800 8.316
angles: 90.00 90.00 90.00
Space group Pmmm (No. 47)
One atom of each set of equivalent atoms:
Pu: 0.000 0.000 0.000 (multiplicity 1)
Mg: 0.000 0.500 0.500 (multiplicity 1)
Ni: 0.000 0.000 0.338 (multiplicity 2)
Ni: 0.000 0.500 0.175 (multiplicity 2)
Ni: 0.500 0.000 0.500 (multiplicity 1)
Ni: 0.500 0.250 0.252 (multiplicity 4)
Ni: 0.500 0.500 0.000 (multiplicity 1)

Record 11
Starting from a DFT-relaxed cell (PBE, Alexandria), the powder diffractogram of RbMg14Ni was computed for Cu Kα X-rays.
No peak broadening, texture or thermal motion is included.

Largest 8 diffraction maxima, sorted by position, 2θ = 10–90°:
| (hkl) | two_theta | I (rel.) |
| --- | --- | --- |
| 1 0 0 | 15.90 | 22 |
| 1 0 2 | 23.19 | 16 |
| 2 0 0 | 32.11 | 27 |
| 0 0 4 | 33.94 | 23 |
| 2 0 2 | 36.44 | 100 |
| 2 0 4 | 47.41 | 17 |
| 2 2 0 | 57.24 | 17 |
| 2 2 4 | 68.24 | 16 |

Structural model:
abc: 6.4378 6.4378 10.5665
angles: 90.00 90.00 120.00
Space group P-6m2 (No. 187)
One atom of each set of equivalent atoms:
Rb: 0.0000 0.0000 0.0000 (multiplicity 1)
Mg: 0.0102 0.5051 0.0000 (multiplicity 3)
Mg: 0.1628 0.3256 0.2819 (multiplicity 6)
Mg: 0.5072 0.0143 0.5000 (multiplicity 3)
Mg: 0.6667 0.3333 0.2393 (multiplicity 2)
Ni: 0.0000 0.0000 0.5000 (multiplicity 1)

Record 12
Starting from a DFT-relaxed cell (PBE, Alexandria), the powder diffractogram of MgNiRu was computed for Cu Kα X-rays.
No peak broadening, texture or thermal motion is included.

Largest 8 diffraction maxima, sorted by position, 2θ = 10–90°:
| (hkl) | two_theta | I (rel.) |
| --- | --- | --- |
| 1 0 1 | 21.78 | 100 |
| 1 0 3 | 41.18 | 43 |
| 1 2 1 | 43.00 | 74 |
| 0 2 2 | 44.39 | 89 |
| 2 2 0 | 52.75 | 19 |
| 1 2 3 | 56.26 | 14 |
| 3 2 1 | 70.34 | 16 |
| 2 2 4 | 75.33 | 23 |

Structural model:
abc: 4.904 4.912 7.351
angles: 90.00 90.00 90.00
Space group Imma (No. 74)
One atom of each set of equivalent atoms:
Mg: 0.000 0.250 0.129 (multiplicity 4)
Ni: 0.250 0.250 0.750 (multiplicity 4)
Ru: 0.000 0.000 0.500 (multiplicity 4)